# TbPmEr2
Theoretical X-ray powder pattern, copper Kα. Input: a DFT-relaxed cell (PBE, Alexandria).
Peak positions follow from Bragg's law for the DFT cell and can differ from measured ones.

Atomic structure:
Unit cell a=3.634 b=11.331 c=6.270 alpha=90.00 beta=90.00 gamma=90.00
Space group Imm2 (No. 44)
Inequivalent atoms, fractional coordinates:
Tb (0.000, 0.000, 0.000) (multiplicity 2)
Pm (0.000, 0.500, 0.998) (multiplicity 2)
Er (0.000, 0.251, 0.332) (multiplicity 4)

Largest 12 diffraction maxima, by angle, 2θ = 5–70°:
3.141 Å, 2θ = 28.4°, rel. 24; 2.833 Å, 2θ = 31.6°, rel. 24; 2.747 Å, 2θ = 32.6°, rel. 100; 2.104 Å, 2θ = 43.0°, rel. 16; 1.817 Å, 2θ = 50.2°, rel. 7; 1.812 Å, 2θ = 50.4°, rel. 13; 1.618 Å, 2θ = 56.9°, rel. 21; 1.529 Å, 2θ = 60.5°, rel. 8; 1.526 Å, 2θ = 60.7°, rel. 15; 1.515 Å, 2θ = 61.2°, rel. 11; 1.511 Å, 2θ = 61.4°, rel. 5; 1.416 Å, 2θ = 66.0°, rel. 3